Record 1
Simulated X-ray powder pattern
Compound: NaVAg2Br6
Radiation: Cu Kα (λ = 1.5418 Å)
Structure: a DFT-relaxed cell (GGA-PBE, Alexandria)
Peak positions follow from Bragg's law for the DFT cell and can differ from measured ones.

Main lines, sorted by position (10° ≤ 2θ ≤ 90°):
2theta	intensity
17.17	31
23.66	25
28.82	100
34.74	17
38.07	62
39.91	13
43.32	19
44.16	46
50.27	29
59.69	14

```
10
Lattice="3.5521 2.0508 6.3332 -3.5521 2.0508 6.3332 0.0000 -4.1016 6.3332" Properties=species:S:1:pos:R:3 pbc="T T T"
Na 0.0000 0.0000 0.0000
V 0.0000 0.0000 9.3158
Ag 0.0000 0.0000 5.4880
Ag 0.0000 0.0000 15.3228
Br -2.0513 -0.0167 7.7819
Br -1.1614 -1.7901 10.7630
Br 1.0401 -1.7682 7.7819
Br -0.9695 1.9009 10.7630
Br 1.0112 1.7848 7.7819
Br 2.1310 -0.1108 10.7630
```

Record 2
Simulated X-ray powder pattern
Compound: NbAg3Br8
Radiation: Cu Kα (λ = 1.5418 Å)
Structure: a DFT-relaxed cell (GGA-PBE, Alexandria)
Peak positions follow from Bragg's law for the DFT cell and can differ from measured ones.

Main lines, sorted by position (10° ≤ 2θ ≤ 90°):
2theta	intensity
14.14	74
18.00	32
23.08	21
28.50	100
32.03	86
41.56	47
44.67	63
45.26	22
56.00	28
74.31	20

```
24
Lattice="8.1148 0.0000 0.0000 -4.0574 7.0276 0.0000 0.0000 0.0000 13.8239" Properties=species:S:1:pos:R:3 pbc="T T T"
Nb 0.0000 4.6851 0.0000
Nb 4.0574 2.3425 6.9120
Ag 0.0000 2.3932 10.1601
Ag -1.9848 5.8310 10.1601
Ag 2.0726 1.1966 3.2481
Ag 1.9848 5.8310 10.1601
Ag 6.0422 1.1966 3.2481
Ag 4.0574 4.6344 3.2481
Br 0.0000 0.0000 4.3716
Br 0.0000 0.0000 11.2836
Br -1.8090 3.6407 12.3231
Br 0.0000 2.5760 1.4314
Br -1.8265 5.7396 1.4314
Br 0.0000 4.6851 8.8527
Br 2.2309 1.2880 8.3433
Br 1.8089 3.6407 12.3231
Br 0.0000 6.7739 12.3231
Br 4.0574 0.2537 5.4112
Br 2.2484 3.3869 5.4112
Br 1.8265 5.7396 1.4314
Br 4.0574 2.3425 1.9408
Br 5.8839 1.2880 8.3433
Br 4.0574 4.4516 8.3433
Br 5.8663 3.3869 5.4112
```

Record 3
Simulated X-ray powder pattern
Compound: NbAg3Br9
Radiation: Cu Kα (λ = 1.5418 Å)
Structure: a DFT-relaxed cell (GGA-PBE, Alexandria)
Peak positions follow from Bragg's law for the DFT cell and can differ from measured ones.

Main lines, sorted by position (10° ≤ 2θ ≤ 90°):
2theta	intensity
10.78	34
11.36	50
11.78	51
15.49	100
16.44	35
21.72	25
27.67	28
30.96	27
33.09	36
41.62	29

```
26
Lattice="10.2868 -4.4243 0.0000 10.2868 4.4243 0.0000 -8.6396 0.0000 11.4392" Properties=species:S:1:pos:R:3 pbc="T T T"
Nb 5.9669 2.8934 5.7196
Nb 10.2868 -2.8934 0.0000
Ag 2.5526 3.0506 7.3464
Ag 0.6718 0.7846 4.9875
Ag -0.6254 1.6736 9.8442
Ag -3.6480 -0.7846 10.7071
Ag 3.6944 -1.6736 4.1246
Ag 6.8725 -3.0506 1.6268
Br -2.9513 0.4518 6.2170
Br -3.1512 1.6193 10.1142
Br 6.2583 2.9611 3.2797
Br 1.3686 -0.4518 0.4974
Br 5.0777 3.0018 8.2976
Br 1.8185 1.4298 9.2565
Br 4.1485 1.0488 5.5133
Br 1.1687 -1.6193 4.3946
Br 7.6565 1.2531 6.3445
Br -0.1713 -1.0488 11.2329
Br 14.8673 1.3976 0.3546
Br 6.1383 -1.4298 3.5369
Br 11.9763 -1.2531 0.6249
Br 1.9385 -2.9611 8.9993
Br 14.0934 0.1542 5.4854
Br 9.3976 -3.0018 2.5780
Br 10.5475 -1.3976 6.0742
Br 9.7736 -0.1542 11.2051
```

Record 4
Simulated X-ray powder pattern
Compound: NbAgBr6
Radiation: Cu Kα (λ = 1.5418 Å)
Structure: a DFT-relaxed cell (GGA-PBE, Alexandria)
Peak positions follow from Bragg's law for the DFT cell and can differ from measured ones.

Main lines, sorted by position (10° ≤ 2θ ≤ 90°):
2theta	intensity
17.88	53
24.52	19
30.06	100
39.53	55
41.79	11
45.27	12
46.28	25
46.32	13
52.11	20
56.19	14

```
8
Lattice="6.7895 0.0000 0.0000 -3.3911 5.8861 0.0000 -0.0093 -3.9144 6.1497" Properties=species:S:1:pos:R:3 pbc="T T T"
Nb 0.0000 0.0000 0.0000
Ag 3.3901 -1.9572 3.0748
Br -2.3809 4.0540 1.4648
Br -1.3080 1.9294 4.6877
Br 1.0799 1.7926 1.4610
Br 2.3092 0.1791 4.6887
Br 4.6971 0.0423 1.4620
Br 5.7700 -2.0823 4.6849
```

Record 5
Simulated X-ray powder pattern
Compound: Nd2AgBr2
Radiation: Cu Kα (λ = 1.5418 Å)
Structure: a DFT-relaxed cell (GGA-PBE, Alexandria)
Peak positions follow from Bragg's law for the DFT cell and can differ from measured ones.

Main lines, sorted by position (10° ≤ 2θ ≤ 90°):
2theta	intensity
27.97	100
32.58	31
36.36	27
42.80	29
43.34	36
52.38	18
62.55	9
66.98	19
70.26	14
79.15	9

```
5
Lattice="2.0877 1.2054 11.2811 -2.0877 1.2054 11.2811 0.0000 -2.4107 11.2811" Properties=species:S:1:pos:R:3 pbc="T T T"
Nd 0.0000 0.0000 3.7365
Nd 0.0000 0.0000 30.1069
Ag 0.0000 0.0000 16.9217
Br 0.0000 0.0000 9.4212
Br 0.0000 0.0000 24.4223
```

Record 6
Simulated X-ray powder pattern
Compound: NdTlAg2Br6
Radiation: Cu Kα (λ = 1.5418 Å)
Structure: a DFT-relaxed cell (GGA-PBE, Alexandria)
Peak positions follow from Bragg's law for the DFT cell and can differ from measured ones.

Main lines, sorted by position (10° ≤ 2θ ≤ 90°):
2theta	intensity
16.13	41
22.04	54
23.70	34
27.08	64
32.59	36
35.47	100
40.69	28
41.67	57
55.85	20
72.04	23

```
10
Lattice="3.7542 2.1675 6.8530 -3.7542 2.1675 6.8530 0.0000 -4.3350 6.8530" Properties=species:S:1:pos:R:3 pbc="T T T"
Nd 0.0000 0.0000 0.0000
Tl 0.0000 0.0000 10.6431
Ag 0.0000 0.0000 6.6642
Ag 0.0000 0.0000 16.6551
Br -1.2883 -2.1262 8.2748
Br -3.0449 -0.0599 11.8118
Br -1.1972 2.1788 8.2748
Br 1.5743 -2.6070 11.8118
Br 2.4855 -0.0526 8.2748
Br 1.4705 2.6669 11.8118
```

Record 7
Simulated X-ray powder pattern
Compound: NiAg3Br6
Radiation: Cu Kα (λ = 1.5418 Å)
Structure: a DFT-relaxed cell (GGA-PBE, Alexandria)
Peak positions follow from Bragg's law for the DFT cell and can differ from measured ones.

Main lines, sorted by position (10° ≤ 2θ ≤ 90°):
2theta	intensity
21.57	82
24.04	48
24.26	85
34.30	100
34.53	54
37.96	44
41.21	80
43.95	35
46.50	42
49.24	33

```
20
Lattice="5.7949 3.3457 4.8102 -5.7949 3.3457 4.8102 0.0000 -6.6914 4.8102" Properties=species:S:1:pos:R:3 pbc="T T T"
Ni 0.0000 0.0000 0.0000
Ni 0.0000 0.0000 7.2153
Ag -4.2073 -1.3302 6.5280
Ag -0.9516 -4.3087 7.9026
Ag -3.2557 2.9785 7.9026
Ag 3.2556 -2.9785 6.5280
Ag 0.9516 4.3087 6.5280
Ag 4.2073 1.3302 7.9026
Br -3.8066 -3.7835 8.1357
Br -5.1799 1.4049 6.2949
Br -1.5850 -1.2336 5.7984
Br 1.3733 -5.1884 6.2949
Br -1.8608 0.7559 8.6322
Br -0.2758 1.9894 5.7984
Br 0.2758 -1.9894 8.6322
Br 1.8608 -0.7559 5.7984
Br -1.3733 5.1884 8.1357
Br 1.5850 1.2336 8.6322
Br 5.1799 -1.4049 8.1357
Br 3.8066 3.7835 6.2949
```

Record 8
Simulated X-ray powder pattern
Compound: Ni2Ag2Br7
Radiation: Cu Kα (λ = 1.5418 Å)
Structure: a DFT-relaxed cell (GGA-PBE, Alexandria)
Peak positions follow from Bragg's law for the DFT cell and can differ from measured ones.

Main lines, sorted by position (10° ≤ 2θ ≤ 90°):
2theta	intensity
12.30	21
18.81	38
21.43	100
23.64	16
27.64	38
27.78	38
31.32	24
32.21	16
41.66	44
49.18	30

```
22
Lattice="5.1111 -5.5607 0.0000 5.1111 5.5607 0.0000 -5.0353 0.0000 12.4262" Properties=species:S:1:pos:R:3 pbc="T T T"
Ni 1.0100 0.0640 2.5188
Ni -1.5077 -0.0640 8.7319
Ni 6.6946 0.0640 3.6943
Ni 4.1770 -0.0640 9.9074
Ag 1.9309 2.0098 6.6680
Ag 0.7384 2.0098 11.9712
Ag 4.4485 -2.0098 0.4549
Ag 3.2560 -2.0098 5.7581
Br 1.3109 1.8140 1.0257
Br 3.8523 5.2033 3.1065
Br -0.6137 1.8845 7.7181
Br -1.2067 -1.8140 7.2387
Br 2.3537 0.2761 4.4389
Br 1.9040 -1.8845 1.5050
Br -0.1640 -0.2761 10.6520
Br 5.3509 0.2761 1.7742
Br 3.2830 1.8845 10.9211
Br 2.8333 -0.2761 7.9873
Br 6.3936 1.8140 5.1874
Br 5.8006 -1.8845 4.7081
Br 1.3346 -5.2033 9.3196
Br 3.8760 -1.8140 11.4005
```